PmMgNb4N8: simulated powder XRD pattern (a wavelength of 1.5418 Å), based on a cell relaxed with GGA-PBE.

Atomic structure:
Cell lengths 6.3654, 6.3654, 15.8739 Å; angles 90.00, 90.00, 120.00 degrees
Space group R3m (No. 160, hexagonal axes)
One atom of each set of equivalent atoms:
Pm 0.0000 0.0000 0.0000 x3
Mg 0.0000 0.0000 0.6207 x3
Nb 0.0000 0.0000 0.2471 x3
Nb 0.1730 0.3460 0.4541 x9
N 0.0000 0.0000 0.3775 x3
N 0.0000 0.0000 0.8575 x3
N 0.0462 0.5231 0.3842 x9
N 0.1685 0.3371 0.2028 x9

Peak list (12 most intense, 2θ from 10° to 90°, sorted by position)
3.221 Å, I 86, (1 0 4); 3.183 Å, I 26, (1 1 0); 2.751 Å, I 51, (0 1 5); 2.727 Å, I 90, (1 1 3); 2.716 Å, I 100, (0 2 1); 2.604 Å, I 23, (2 0 2); 1.845 Å, I 32, (2 1 4); 1.751 Å, I 29, (0 2 7); 1.742 Å, I 29, (1 2 5); 1.736 Å, I 24, (0 3 3); 1.610 Å, I 43, (2 0 8); 1.591 Å, I 41, (2 2 0)


Nd2MgP2N6: simulated powder XRD pattern (a wavelength of 1.5418 Å), based on a cell relaxed with GGA-PBE.

Atomic structure:
Cell lengths 5.4980, 5.4980, 16.7752 Å; angles 90.00, 90.00, 120.00 degrees
Space group R-3m (No. 166, hexagonal axes)
One atom of each set of equivalent atoms:
Nd 0.0000 0.0000 0.2099 x6
Mg 0.0000 0.0000 0.0000 x3
P 0.0000 0.0000 0.4190 x6
N 0.0026 0.5013 0.2457 x18

Peak list (12 most intense, 2θ from 10° to 90°, sorted by position)
5.592 Å, I 26, (0 0 3); 4.141 Å, I 30, (0 1 2); 3.147 Å, I 9, (1 0 4); 2.746 Å, I 100, (0 1 5); 2.467 Å, I 18, (1 1 3); 2.290 Å, I 18, (2 0 2); 2.070 Å, I 9, (0 2 4); 1.942 Å, I 19, (2 0 5); 1.586 Å, I 28, (3 0 0); 1.543 Å, I 9, (1 1 9); 1.374 Å, I 9, (2 2 0); 1.229 Å, I 8, (3 1 5)


NdMg2ReN4: simulated powder XRD pattern (a wavelength of 1.5418 Å), based on a cell relaxed with GGA-PBE.

Atomic structure:
Cell lengths 3.3213, 11.7212, 10.9977 Å; angles 90.00, 90.00, 90.00 degrees
Space group Cmcm (No. 63)
One atom of each set of equivalent atoms:
Nd 0.0000 0.0725 0.2500 x4
Mg 0.0000 0.3876 0.0301 x8
Re 0.0000 0.1867 0.7500 x4
N 0.0000 0.0000 0.0000 x4
N 0.0000 0.2768 0.6169 x8
N 0.0000 0.4124 0.2500 x4

Peak list (12 most intense, 2θ from 10° to 90°, sorted by position)
5.499 Å, I 100, (0 0 2); 3.195 Å, I 18, (1 1 0); 3.069 Å, I 16, (1 1 1); 2.832 Å, I 46, (0 4 1); 2.763 Å, I 44, (1 1 2); 2.749 Å, I 33, (0 0 4); 2.466 Å, I 44, (1 3 1); 2.299 Å, I 19, (1 3 2); 2.289 Å, I 33, (0 4 3); 2.083 Å, I 28, (1 3 3); 1.660 Å, I 23, (2 0 0); 1.590 Å, I 15, (2 0 2)


NdMg2TaN4: simulated powder XRD pattern (a wavelength of 1.5418 Å), based on a cell relaxed with GGA-PBE.

Atomic structure:
Cell lengths 7.3228, 6.0541, 5.4333 Å; angles 90.00, 90.00, 90.00 degrees
Space group Pmn2_1 (No. 31)
One atom of each set of equivalent atoms:
Nd 0.0000 0.1693 0.0000 x2
Mg 0.2492 0.3337 0.5136 x4
Ta 0.0000 0.8108 0.5192 x2
N 0.0000 0.1345 0.4547 x2
N 0.0000 0.7952 0.8781 x2
N 0.2203 0.6623 0.4000 x4

Peak list (12 most intense, 2θ from 10° to 90°, sorted by position)
6.054 Å, I 16, (0 1 0); 4.044 Å, I 64, (0 1 1); 3.661 Å, I 31, (2 0 0); 3.133 Å, I 21, (2 1 0); 3.027 Å, I 17, (0 2 0); 2.715 Å, I 100, (0 0 2); 2.644 Å, I 23, (0 2 1); 2.182 Å, I 16, (2 0 2); 2.144 Å, I 16, (2 2 1); 1.768 Å, I 24, (2 3 0); 1.568 Å, I 22, (2 1 3); 1.481 Å, I 17, (2 3 2)


NdMg2VN4: simulated powder XRD pattern (a wavelength of 1.5418 Å), based on a cell relaxed with GGA-PBE.

Atomic structure:
Cell lengths 7.0607, 5.9411, 5.3772 Å; angles 90.00, 90.00, 90.00 degrees
Space group Pmn2_1 (No. 31)
One atom of each set of equivalent atoms:
Nd 0.0000 0.1468 0.0000 x2
Mg 0.2459 0.3394 0.5143 x4
V 0.0000 0.8089 0.5221 x2
N 0.0000 0.1205 0.4676 x2
N 0.0000 0.7772 0.8575 x2
N 0.2119 0.6728 0.4009 x4

Peak list (12 most intense, 2θ from 10° to 90°, sorted by position)
5.941 Å, I 36, (0 1 0); 4.278 Å, I 37, (1 0 1); 3.987 Å, I 70, (0 1 1); 3.530 Å, I 38, (2 0 0); 3.035 Å, I 60, (2 1 0); 2.689 Å, I 60, (0 0 2); 2.643 Å, I 100, (2 1 1); 2.600 Å, I 55, (0 2 1); 2.012 Å, I 30, (2 1 2); 1.727 Å, I 31, (2 3 0); 1.543 Å, I 28, (2 1 3); 1.453 Å, I 29, (2 3 2)


Mg3Np3ZnN8: simulated powder XRD pattern (a wavelength of 1.5418 Å), based on a cell relaxed with GGA-PBE.

Atomic structure:
Cell lengths 6.5847, 6.5847, 15.4783 Å; angles 90.00, 90.00, 120.00 degrees
Space group R-3m (No. 166, hexagonal axes)
One atom of each set of equivalent atoms:
Mg 0.0000 0.5000 0.0000 x9
Np 0.0000 0.5000 0.5000 x9
Zn 0.0000 0.0000 0.5000 x3
N 0.0000 0.0000 0.2532 x6
N 0.0061 0.5030 0.7596 x18

Peak list (12 most intense, 2θ from 10° to 90°, sorted by position)
5.159 Å, I 100, (0 0 3); 4.591 Å, I 16, (0 1 2); 2.804 Å, I 65, (0 2 1); 2.675 Å, I 66, (2 0 2); 2.580 Å, I 20, (0 0 6); 2.295 Å, I 72, (0 2 4); 2.097 Å, I 28, (2 0 5); 1.747 Å, I 18, (0 2 7); 1.646 Å, I 25, (2 2 0); 1.601 Å, I 23, (2 0 8); 1.568 Å, I 25, (2 2 3); 1.388 Å, I 20, (2 2 6)


Sr2MgTi6N2O11: simulated powder XRD pattern (a wavelength of 1.5418 Å), based on a cell relaxed with GGA-PBE.

Atomic structure:
Cell lengths 15.1488, 3.9177, 9.4148 Å; angles 90.00, 95.69, 90.00 degrees
Space group Cm (No. 8)
One atom of each set of equivalent atoms:
Sr 0.0000 0.0000 0.0000 x2
Sr 0.0834 0.0000 0.4983 x2
Mg 0.3178 0.5000 0.7612 x2
Ti 0.1386 0.5000 0.8056 x2
Ti 0.2024 0.5000 0.1492 x2
Ti 0.2609 0.5000 0.4686 x2
Ti 0.2859 0.0000 0.9800 x2
Ti 0.3619 0.0000 0.2967 x2
Ti 0.4066 0.0000 0.6052 x2
N 0.1978 0.5000 0.6378 x2
N 0.2963 0.0000 0.4710 x2
O 0.0264 0.5000 0.7211 x2
O 0.0965 0.5000 0.0379 x2
O 0.1552 0.0000 0.8565 x2
O 0.1580 0.5000 0.3425 x2
O 0.2276 0.0000 0.1669 x2
O 0.2699 0.5000 0.9546 x2
O 0.3364 0.5000 0.2781 x2
O 0.3515 0.0000 0.7946 x2
O 0.3976 0.0000 0.0908 x2
O 0.4021 0.5000 0.6087 x2
O 0.4669 0.0000 0.4194 x2

Peak list (12 most intense, 2θ from 10° to 90°, sorted by position)
4.684 Å, I 24, (0 0 2); 3.813 Å, I 13, (2 0 2); 3.090 Å, I 53, (3 1 0); 2.988 Å, I 100, (3 1 -1); 2.912 Å, I 25, (1 1 2); 2.882 Å, I 17, (3 1 1); 2.804 Å, I 28, (4 0 2); 2.489 Å, I 18, (6 0 -1); 2.129 Å, I 28, (6 0 2); 2.084 Å, I 36, (4 0 -4); 1.959 Å, I 42, (0 2 0); 1.428 Å, I 20, (4 2 -4)


Sr2MgTi6N2O11: simulated powder XRD pattern (a wavelength of 1.5418 Å), based on a cell relaxed with GGA-PBE.

Atomic structure:
Cell lengths 4.0400, 7.8203, 8.8272 Å; angles 76.25, 85.79, 88.59 degrees
Space group P1 (No. 1)
One atom of each set of equivalent atoms:
Sr 0.0000 0.0000 0.0000 x1
Sr 0.4183 0.3924 0.7126 x1
Mg 0.9720 0.4604 0.0678 x1
Ti 0.4281 0.8597 0.4535 x1
Ti 0.4580 0.1889 0.1898 x1
Ti 0.4842 0.6917 0.1806 x1
Ti 0.7850 0.7607 0.7611 x1
Ti 0.9238 0.1147 0.5020 x1
Ti 0.9464 0.6095 0.4142 x1
N 0.4597 0.9252 0.2247 x1
N 0.9197 0.8395 0.4876 x1
O 0.3849 0.7388 0.6872 x1
O 0.4269 0.1220 0.4517 x1
O 0.4426 0.6023 0.4229 x1
O 0.4670 0.4500 0.1460 x1
O 0.4754 0.2040 0.9792 x1
O 0.5841 0.7949 0.9516 x1
O 0.9040 0.5258 0.8351 x1
O 0.9093 0.0286 0.7118 x1
O 0.9300 0.3658 0.5267 x1
O 0.9571 0.2042 0.2171 x1
O 0.9790 0.6661 0.1820 x1

Peak list (12 most intense, 2θ from 10° to 90°, sorted by position)
3.399 Å, I 85, (0 1 -2); 3.336 Å, I 62, (-1 1 1); 3.247 Å, I 42, (0 2 2); 3.202 Å, I 55, (0 2 -1); 3.008 Å, I 51, (1 1 2); 2.832 Å, I 100, (1 0 -2); 2.774 Å, I 62, (1 2 0); 2.602 Å, I 59, (0 3 1); 2.445 Å, I 42, (1 1 3); 2.138 Å, I 74, (0 0 4); 2.015 Å, I 88, (2 0 0); 1.955 Å, I 74, (0 4 1)


Sr2MgTi6N2O11: simulated powder XRD pattern (a wavelength of 1.5418 Å), based on a cell relaxed with GGA-PBE.

Atomic structure:
Cell lengths 15.5502, 3.8224, 10.8564 Å; angles 90.00, 109.46, 90.00 degrees
Space group Cm (No. 8)
One atom of each set of equivalent atoms:
Sr 0.0000 0.0000 0.0000 x2
Sr 0.0521 0.0000 0.5757 x2
Mg 0.3447 0.5000 0.2350 x2
Ti 0.1479 0.5000 0.3113 x2
Ti 0.1479 0.5000 0.8859 x2
Ti 0.2427 0.5000 0.6337 x2
Ti 0.2989 0.0000 0.0230 x2
Ti 0.3099 0.0000 0.4503 x2
Ti 0.3925 0.0000 0.7297 x2
N 0.1618 0.5000 0.7257 x2
N 0.2643 0.0000 0.5916 x2
O 0.0241 0.5000 0.8517 x2
O 0.0589 0.5000 0.1610 x2
O 0.1116 0.5000 0.4547 x2
O 0.1627 0.0000 0.9398 x2
O 0.1861 0.0000 0.3076 x2
O 0.2750 0.5000 0.0410 x2
O 0.3076 0.5000 0.3924 x2
O 0.3643 0.0000 0.2100 x2
O 0.3734 0.0000 0.9303 x2
O 0.3780 0.5000 0.7500 x2
O 0.4345 0.0000 0.5741 x2

Peak list (12 most intense, 2θ from 10° to 90°, sorted by position)
5.118 Å, I 33, (0 0 2); 3.664 Å, I 33, (2 0 2); 3.602 Å, I 91, (4 0 -2); 3.584 Å, I 40, (2 0 -3); 3.126 Å, I 45, (1 1 -2); 3.011 Å, I 90, (3 1 0); 2.885 Å, I 61, (1 1 2); 2.865 Å, I 100, (3 1 -2); 2.740 Å, I 41, (3 1 1); 2.714 Å, I 38, (2 0 -4); 2.598 Å, I 42, (4 0 2); 1.911 Å, I 75, (0 2 0)


Sr2MgTi6N2O11: simulated powder XRD pattern (a wavelength of 1.5418 Å), based on a cell relaxed with GGA-PBE.

Atomic structure:
Cell lengths 3.8998, 7.3917, 10.0776 Å; angles 103.44, 91.85, 104.45 degrees
Space group P1 (No. 1)
One atom of each set of equivalent atoms:
Sr 0.0000 0.0000 0.0000 x1
Sr 0.0179 0.0650 0.3499 x1
Mg 0.8772 0.0976 0.6956 x1
Ti 0.2840 0.5995 0.0798 x1
Ti 0.3638 0.7172 0.4152 x1
Ti 0.3715 0.7818 0.7654 x1
Ti 0.6376 0.3506 0.8919 x1
Ti 0.6995 0.4011 0.2349 x1
Ti 0.7528 0.5148 0.5661 x1
N 0.3575 0.7279 0.9317 x1
N 0.7464 0.5235 0.0782 x1
O 0.1316 0.3156 0.9158 x1
O 0.2198 0.4385 0.2614 x1
O 0.2840 0.5796 0.5833 x1
O 0.3876 0.8104 0.2432 x1
O 0.5112 0.0623 0.8318 x1
O 0.5437 0.9609 0.5254 x1
O 0.5868 0.1492 0.1482 x1
O 0.6464 0.3019 0.4254 x1
O 0.7004 0.3722 0.7121 x1
O 0.8413 0.6694 0.4019 x1
O 0.8849 0.8073 0.7227 x1

Peak list (12 most intense, 2θ from 10° to 90°, sorted by position)
6.460 Å, I 30, (0 1 -1); 3.592 Å, I 27, (0 1 2); 3.557 Å, I 33, (0 2 -1); 2.990 Å, I 100, (1 1 0); 2.970 Å, I 91, (1 -2 0); 2.735 Å, I 76, (0 2 -3); 2.698 Å, I 58, (0 1 3); 2.585 Å, I 65, (1 0 -3); 2.504 Å, I 65, (1 -1 3); 2.279 Å, I 54, (0 2 -4); 1.949 Å, I 81, (2 -1 0); 1.913 Å, I 60, (0 3 2)


Sr2MgTi6N2O11: simulated powder XRD pattern (a wavelength of 1.5418 Å), based on a cell relaxed with GGA-PBE.

Atomic structure:
Cell lengths 15.5067, 3.8454, 9.4584 Å; angles 90.00, 96.82, 90.00 degrees
Space group Cm (No. 8)
One atom of each set of equivalent atoms:
Sr 0.0000 0.0000 0.0000 x2
Sr 0.0848 0.0000 0.5270 x2
Mg 0.2626 0.0000 0.7588 x2
Ti 0.1631 0.5000 0.8856 x2
Ti 0.2117 0.5000 0.2209 x2
Ti 0.2808 0.5000 0.5375 x2
Ti 0.3213 0.0000 0.0575 x2
Ti 0.3750 0.0000 0.3820 x2
Ti 0.4351 0.0000 0.6888 x2
N 0.2110 0.5000 0.7094 x2
N 0.3178 0.0000 0.5706 x2
O 0.0469 0.5000 0.8276 x2
O 0.1123 0.5000 0.1077 x2
O 0.1756 0.5000 0.4103 x2
O 0.1880 0.0000 0.9221 x2
O 0.2482 0.0000 0.2314 x2
O 0.2863 0.5000 0.0494 x2
O 0.3495 0.5000 0.3601 x2
O 0.3756 0.0000 0.8859 x2
O 0.4209 0.0000 0.1764 x2
O 0.4424 0.5000 0.6897 x2
O 0.4853 0.0000 0.4944 x2

Peak list (12 most intense, 2θ from 10° to 90°, sorted by position)
4.696 Å, I 45, (0 0 2); 3.077 Å, I 100, (3 1 0); 2.988 Å, I 90, (3 1 -1); 2.963 Å, I 44, (1 1 -2); 2.865 Å, I 40, (3 1 1); 2.817 Å, I 49, (4 0 2); 2.787 Å, I 36, (2 0 3); 2.554 Å, I 39, (6 0 -1); 2.120 Å, I 89, (4 0 -4); 1.923 Å, I 73, (0 2 0); 1.709 Å, I 37, (7 1 2); 1.424 Å, I 34, (4 2 -4)